No. 1
Computed X-ray powder pattern
Compound: BaScPb3
Radiation: Cu Kα
Structure: a structure optimized by DFT (PBE)

Top 8 peaks for 2θ from 15° to 90°, most intense first:
2θ 27.29, rel. 100.0; 2θ 31.62, rel. 66.2; 2θ 45.32, rel. 49.6; 2θ 53.72, rel. 48.2; 2θ 75.06, rel. 23.0; 2θ 72.85, rel. 20.2; 2θ 83.72, rel. 17.7; 2θ 56.31, rel. 17.5

Unit cell a=5.6593 b=5.6593 c=5.6593 alpha=90.00 beta=90.00 gamma=90.00
Positions (direct):
Ba (0.0000, 0.0000, 0.0000)
Sc (0.5000, 0.5000, 0.5000)
Pb (0.0000, 0.5000, 0.5000)
Pb (0.5000, 0.0000, 0.5000)
Pb (0.5000, 0.5000, 0.0000)

---

No. 2
Computed X-ray powder pattern
Compound: PrSm10Y6
Radiation: Cu Kα
Structure: a structure optimized by DFT (PBE)

Top 8 peaks for 2θ from 15° to 90°, most intense first:
2θ 31.67, rel. 100.0; 2θ 31.50, rel. 77.6; 2θ 30.63, rel. 40.9; 2θ 45.27, rel. 26.9; 2θ 56.19, rel. 18.5; 2θ 56.52, rel. 17.0; 2θ 48.40, rel. 14.3; 2θ 62.13, rel. 11.7

Unit cell a=9.8389 b=9.8389 c=6.9024 alpha=90.00 beta=90.00 gamma=120.00
Positions (direct):
Pr (0.0000, 0.0000, 0.0000)
Sm (0.0000, 0.2767, 0.3188)
Sm (0.0000, 0.7233, 0.6812)
Sm (0.2767, 0.0000, 0.3188)
Sm (0.2767, 0.2767, 0.6812)
Sm (0.3333, 0.6667, 0.0000)
Sm (0.3333, 0.6667, 0.5000)
Sm (0.6667, 0.3333, 0.0000)
Sm (0.6667, 0.3333, 0.5000)
Sm (0.7233, 0.0000, 0.6812)
Sm (0.7233, 0.7233, 0.3188)
Y (0.0000, 0.3730, 0.8069)
Y (0.0000, 0.6270, 0.1931)
Y (0.3730, 0.0000, 0.8069)
Y (0.3730, 0.3730, 0.1931)
Y (0.6270, 0.0000, 0.1931)
Y (0.6270, 0.6270, 0.8069)

---

No. 3
Computed X-ray powder pattern
Compound: PmSmHo2Mg
Radiation: Cu Kα
Structure: a structure optimized by DFT (PBE)

Top 8 peaks for 2θ from 15° to 90°, most intense first:
2θ 31.15, rel. 100.0; 2θ 36.09, rel. 33.5; 2θ 52.04, rel. 29.5; 2θ 61.98, rel. 20.9; 2θ 36.20, rel. 16.5; 2θ 61.84, rel. 13.6; 2θ 85.08, rel. 8.5; 2θ 61.71, rel. 7.0

Unit cell a=6.0831 b=6.0831 c=11.1528 alpha=90.00 beta=90.00 gamma=48.15
Positions (direct):
Pm (0.2465, 0.2465, 0.2550)
Pm (0.7535, 0.7535, 0.7450)
Sm (0.4527, 0.4527, 0.8492)
Sm (0.5473, 0.5473, 0.1508)
Ho (0.1541, 0.1541, 0.9481)
Ho (0.3522, 0.3522, 0.5481)
Ho (0.6478, 0.6478, 0.4519)
Ho (0.8459, 0.8459, 0.0519)
Mg (0.0531, 0.0531, 0.6405)
Mg (0.9469, 0.9469, 0.3595)

---

No. 4
Computed X-ray powder pattern
Compound: Ho3Tm2Ag2
Radiation: Cu Kα
Structure: a structure optimized by DFT (PBE)

Top 8 peaks for 2θ from 15° to 90°, most intense first:
2θ 33.87, rel. 100.0; 2θ 33.68, rel. 83.0; 2θ 60.48, rel. 30.5; 2θ 48.51, rel. 29.7; 2θ 60.60, rel. 18.5; 2θ 27.54, rel. 13.8; 2θ 71.28, rel. 12.7; 2θ 59.78, rel. 9.9

Unit cell a=9.1697 b=5.2914 c=8.2122 alpha=90.00 beta=111.77 gamma=90.00
Positions (direct):
Ho (0.0000, 0.0000, 0.0000)
Ho (0.1605, 0.0000, 0.4817)
Ho (0.3395, 0.5000, 0.5183)
Ho (0.5000, 0.5000, 0.0000)
Ho (0.6605, 0.5000, 0.4817)
Ho (0.8395, 0.0000, 0.5183)
Tm (0.0754, 0.5000, 0.7265)
Tm (0.4246, 0.0000, 0.2735)
Tm (0.5754, 0.0000, 0.7265)
Tm (0.9246, 0.5000, 0.2735)
Ag (0.2122, 0.5000, 0.1360)
Ag (0.2878, 0.0000, 0.8640)
Ag (0.7122, 0.0000, 0.1360)
Ag (0.7878, 0.5000, 0.8640)

---

No. 5
Computed X-ray powder pattern
Compound: CsHgAsPt
Radiation: Cu Kα
Structure: a structure optimized by DFT (PBE)

Top 8 peaks for 2θ from 15° to 90°, most intense first:
2θ 29.29, rel. 100.0; 2θ 25.32, rel. 60.0; 2θ 41.02, rel. 57.4; 2θ 28.74, rel. 48.5; 2θ 47.70, rel. 37.7; 2θ 36.55, rel. 29.9; 2θ 55.90, rel. 25.0; 2θ 34.42, rel. 22.2

Unit cell a=5.6561 b=3.8798 c=6.5800 alpha=90.00 beta=109.23 gamma=90.00
Positions (direct):
Cs (0.0000, 0.0000, 0.0000)
Hg (0.7569, 0.5000, 0.4420)
As (0.2634, 0.5000, 0.6308)
Pt (0.4282, 0.0000, 0.5129)

---

No. 6
Computed X-ray powder pattern
Compound: CdGa2SbSe2
Radiation: Cu Kα
Structure: a structure optimized by DFT (PBE)

Top 8 peaks for 2θ from 15° to 90°, most intense first:
2θ 44.00, rel. 100.0; 2θ 24.10, rel. 93.9; 2θ 42.40, rel. 77.8; 2θ 26.96, rel. 72.4; 2θ 23.93, rel. 57.9; 2θ 49.28, rel. 52.4; 2θ 34.22, rel. 33.6; 2θ 62.75, rel. 30.6

Unit cell a=7.3868 b=7.3868 c=7.4369 alpha=90.00 beta=90.00 gamma=59.95
Positions (direct):
Cd (0.1879, 0.8121, 0.5000)
Cd (0.8121, 0.1879, 0.0000)
Ga (0.1654, 0.4974, 0.9829)
Ga (0.4974, 0.1654, 0.4829)
Ga (0.5026, 0.8346, 0.9829)
Ga (0.8346, 0.5026, 0.4829)
Sb (0.1742, 0.8258, 0.1219)
Sb (0.8258, 0.1742, 0.6219)
Se (0.1681, 0.4691, 0.6268)
Se (0.4691, 0.1681, 0.1268)
Se (0.5309, 0.8319, 0.6268)
Se (0.8319, 0.5309, 0.1268)